Diffraction record for Na3CoAsCO7. The powder X-ray diffraction pattern is computed, not measured: it uses a structure optimized by DFT (PBE+U) and copper Kα.

Principal peaks in the range 10 to 90 degrees two-theta, in order of rising 2θ:
2theta	I/Imax	index
19.2	38	1 0 -1
26.0	100	0 2 0
32.5	46	1 2 -1
32.7	75	0 2 2
34.0	62	2 0 0
47.9	41	0 2 4

Atomic structure:
Cell lengths 5.282, 6.856, 9.131 Å; angles 90.00, 91.25, 90.00 degrees
Space group P2_1/m (No. 11)
Inequivalent atoms, fractional coordinates:
Na: 0.234 0.250 0.080 [2 per cell]
Na: 0.252 0.505 0.740 [4 per cell]
Co: 0.219 0.750 0.340 [2 per cell]
As: 0.295 0.250 0.417 [2 per cell]
C: 0.280 0.750 0.058 [2 per cell]
O: 0.057 0.750 0.117 [2 per cell]
O: 0.149 0.250 0.583 [2 per cell]
O: 0.219 0.053 0.306 [4 per cell]
O: 0.301 0.750 0.917 [2 per cell]
O: 0.380 0.750 0.552 [2 per cell]
O: 0.479 0.750 0.145 [2 per cell]